No. 1
Starting from a crystal structure in Alexandria, relaxed with PBE, the X-ray powder pattern of Ba3LiPb3 was simulated for Cu Kα X-rays.
No peak broadening, texture or thermal motion is included.

Principal peaks in the range 2θ from 10° to 90°, sorted by position:
- (1 1 -4), 26.71°, I = 1000
- (3 1 -1), 27.13°, I = 442
- (4 0 -2), 28.19°, I = 410
- (3 1 2), 33.17°, I = 861
- (0 2 0), 33.89°, I = 505
- (4 2 -2), 44.64°, I = 308

Lattice parameters (Å, degrees): 12.6640 5.2904 17.2023 90.00 110.53 90.00
Space group C2/m (No. 12)
Unique sites:
Ba 0.0431 0.0000 0.3863 [4 per cell]
Ba 0.0952 0.0000 0.9188 [4 per cell]
Ba 0.2460 0.0000 0.2283 [4 per cell]
Li 0.2464 0.5000 0.4045 [4 per cell]
Pb 0.0444 0.5000 0.2358 [4 per cell]
Pb 0.1137 0.5000 0.0754 [4 per cell]
Pb 0.1311 0.5000 0.5462 [4 per cell]


No. 2
Starting from a crystal structure in Alexandria, relaxed with PBE, the X-ray powder pattern of BaIn7Pd5 was simulated for Cu Kα X-rays.
No peak broadening, texture or thermal motion is included.

Principal peaks in the range 2θ from 10° to 90°, sorted by position:
- (2 2 0), 35.90°, I = 462
- (2 0 2), 36.17°, I = 431
- (1 3 2), 36.47°, I = 716
- (1 2 3), 36.81°, I = 460
- (0 0 4), 37.37°, I = 387
- (2 2 2), 40.65°, I = 1000

Lattice parameters (Å, degrees): 5.7984 9.9016 9.6251 90.00 90.00 90.00
Space group Imm2 (No. 44)
Unique sites:
Ba 0.0000 0.0000 0.0000 [2 per cell]
In 0.0000 0.0000 0.3555 [2 per cell]
In 0.0000 0.0000 0.6602 [2 per cell]
In 0.0000 0.2959 0.4886 [4 per cell]
In 0.0000 0.3464 0.0214 [4 per cell]
In 0.0000 0.5000 0.7397 [2 per cell]
Pd 0.0000 0.5000 0.2744 [2 per cell]
Pd 0.2464 0.2596 0.7494 [8 per cell]


No. 3
Starting from a crystal structure in Alexandria, relaxed with PBE, the X-ray powder pattern of CaCu9Si4 was simulated for Cu Kα X-rays.
No peak broadening, texture or thermal motion is included.

Principal peaks in the range 2θ from 10° to 90°, sorted by position:
- (1 1 0), 15.44°, I = 389
- (3 1 2), 38.35°, I = 1000
- (2 1 5), 46.44°, I = 651
- (3 2 3), 46.69°, I = 759
- (4 1 1), 46.82°, I = 445
- (3 3 0), 47.51°, I = 409

Lattice parameters (Å, degrees): 8.1150 8.1150 11.6043 90.00 90.00 90.00
Space group I4/mcm (No. 140)
Unique sites:
Ca 0.0000 0.0000 0.2500 [4 per cell]
Cu 0.0000 0.5000 0.0000 [4 per cell]
Cu 0.0648 0.2026 0.0000 [16 per cell]
Cu 0.1248 0.3752 0.1834 [16 per cell]
Si 0.1758 0.3242 0.3830 [16 per cell]


No. 4
Starting from a crystal structure in Alexandria, relaxed with PBE, the X-ray powder pattern of SrSi3Rh3 was simulated for Cu Kα X-rays.
No peak broadening, texture or thermal motion is included.

Principal peaks in the range 2θ from 10° to 90°, sorted by position:
- (1 0 0), 11.64°, I = 1000
- (1 1 1), 29.44°, I = 509
- (2 0 1), 31.76°, I = 469
- (3 0 0), 35.43°, I = 522
- (2 1 1), 37.95°, I = 922
- (0 0 2), 43.09°, I = 292

Lattice parameters (Å, degrees): 8.7763 8.7763 4.1987 90.00 90.00 120.00
Space group P6_3/m (No. 176)
Unique sites:
Sr 0.3333 0.6667 0.2500 [2 per cell]
Si 0.0655 0.7111 0.7500 [6 per cell]
Rh 0.0543 0.4174 0.7500 [6 per cell]


No. 5
Starting from a crystal structure in Alexandria, relaxed with PBE, the X-ray powder pattern of BeCdSb was simulated for Cu Kα X-rays.
No peak broadening, texture or thermal motion is included.

Principal peaks in the range 2θ from 10° to 90°, sorted by position:
- (2 0 0), 28.00°, I = 512
- (1 1 -1), 28.23°, I = 1000
- (1 1 1), 37.08°, I = 760
- (0 0 2), 41.55°, I = 183
- (3 1 -1), 43.13°, I = 343
- (0 2 2), 61.61°, I = 219

Lattice parameters (Å, degrees): 7.2784 4.1746 4.9643 90.00 118.89 90.00
Space group Cm (No. 8)
Unique sites:
Be 0.0000 0.0000 0.0000 [2 per cell]
Cd 0.3019 0.5000 0.4002 [2 per cell]
Sb 0.3065 0.0000 0.9210 [2 per cell]


No. 6
Starting from a crystal structure in Alexandria, relaxed with PBE, the X-ray powder pattern of TbDy7Er2 was simulated for Cu Kα X-rays.
No peak broadening, texture or thermal motion is included.

Principal peaks in the range 2θ from 10° to 90°, sorted by position:
- (1 2 1), 31.00°, I = 870
- (1 0 5), 31.62°, I = 1000
- (2 0 0), 33.17°, I = 457
- (0 2 4), 33.56°, I = 416
- (2 2 4), 47.91°, I = 309
- (1 4 5), 62.58°, I = 285

Lattice parameters (Å, degrees): 5.4015 6.9736 16.6098 90.00 90.00 90.00
Space group Immm (No. 71)
Unique sites:
Tb 0.0000 0.0000 0.0000 [2 per cell]
Dy 0.0000 0.0000 0.1996 [4 per cell]
Dy 0.0000 0.2493 0.3904 [8 per cell]
Dy 0.0000 0.5000 0.0000 [2 per cell]
Er 0.0000 0.5000 0.1993 [4 per cell]


No. 7
Starting from a crystal structure in Alexandria, relaxed with PBE, the X-ray powder pattern of Er3PaRh3 was simulated for Cu Kα X-rays.
No peak broadening, texture or thermal motion is included.

Principal peaks in the range 2θ from 10° to 90°, sorted by position:
- (3 0 3), 30.24°, I = 392
- (1 1 3), 30.74°, I = 1000
- (2 1 3), 33.46°, I = 712
- (1 0 5), 34.50°, I = 387
- (4 1 0), 37.48°, I = 795
- (0 2 0), 44.53°, I = 628

Lattice parameters (Å, degrees): 11.8829 4.0693 13.3225 90.00 90.00 90.00
Space group Pnma (No. 62)
Unique sites:
Er 0.0497 0.2500 0.0971 [4 per cell]
Er 0.1884 0.7500 0.5127 [4 per cell]
Er 0.2487 0.2500 0.2988 [4 per cell]
Pa 0.0301 0.2500 0.6852 [4 per cell]
Rh 0.0475 0.2500 0.4272 [4 per cell]
Rh 0.1077 0.2500 0.8748 [4 per cell]
Rh 0.2370 0.7500 0.1515 [4 per cell]


No. 8
Starting from a crystal structure in Alexandria, relaxed with PBE, the X-ray powder pattern of Nd5Y3Er4 was simulated for Cu Kα X-rays.
No peak broadening, texture or thermal motion is included.

Principal peaks in the range 2θ from 10° to 90°, sorted by position:
- (1 1 -4), 28.28°, I = 400
- (0 2 0), 30.67°, I = 650
- (2 0 3), 31.01°, I = 350
- (2 0 -5), 31.20°, I = 378
- (3 1 -2), 31.61°, I = 1000
- (1 1 4), 33.48°, I = 318

Lattice parameters (Å, degrees): 9.7752 5.8294 15.0105 90.00 108.64 90.00
Space group C2/m (No. 12)
Unique sites:
Nd 0.0000 0.0000 0.0000 [2 per cell]
Nd 0.0487 0.5000 0.2476 [4 per cell]
Nd 0.1675 0.5000 0.4982 [4 per cell]
Y 0.0000 0.5000 0.0000 [2 per cell]
Y 0.2080 0.0000 0.2495 [4 per cell]
Er 0.0601 0.0000 0.6234 [4 per cell]
Er 0.1742 0.0000 0.8544 [4 per cell]